Simulated X-ray diffraction stick pattern of Mg6Si5 for Cu Ka, from the GGA-PBE geometry in the Materials Project.
Lines closer than 0.1° are merged.

Top 10 peaks for 15 to 90 degrees two-theta, in order of rising 2θ:
- 34.0°, rel. 27, hkl 1 0 -4
- 35.9°, rel. 88, hkl 0 2 -3
- 36.0°, rel. 48, hkl 2 0 1
- 36.7°, rel. 62, hkl 2 0 2
- 37.3°, rel. 100, hkl 1 2 3
- 38.5°, rel. 37, hkl -1 2 1
- 39.9°, rel. 80, hkl 1 0 -5
- 40.5°, rel. 48, hkl 1 0 6
- 40.8°, rel. 87, hkl -1 2 2
- 48.4°, rel. 23, hkl 2 2 -2

Cell and atoms:
Cell: 5.030 5.974 14.006 Å, 89.28 80.62 82.61°
Fractional coordinates of all 22 atoms:
Mg  0.000  0.000  0.000
Mg  0.004  0.967  0.673
Mg  0.009  0.500  0.025
Mg  0.020  0.468  0.672
Mg  0.088  0.734  0.460
Mg  0.434  0.202  0.115
Mg  0.461  0.701  0.111
Mg  0.566  0.938  0.884
Mg  0.580  0.440  0.890
Mg  0.587  0.455  0.547
Mg  0.764  0.153  0.381
Mg  0.907  0.882  0.206
Si  0.109  0.690  0.840
Si  0.121  0.263  0.840
Si  0.169  0.252  0.482
Si  0.286  0.414  0.300
Si  0.335  0.972  0.299
Si  0.486  0.149  0.703
Si  0.492  0.940  0.545
Si  0.507  0.721  0.713
Si  0.642  0.660  0.360
Si  0.844  0.409  0.217